Diffraction record for Zr2PaTi. The powder XRD pattern is theoretical, not measured: it uses the GGA-PBE geometry in Alexandria and Cu Kα X-rays.
Kinematic intensities with the Lorentz-polarization factor, no thermal factor.

Structure:
Lattice parameters (Å, degrees): 4.540 4.540 4.353 90.00 90.00 90.00
Space group P4/mmm (No. 123)
Asymmetric unit:
Zr 0.000 0.500 0.000 (multiplicity 2)
Pa 0.000 0.000 0.500 (multiplicity 1)
Ti 0.500 0.500 0.500 (multiplicity 1)

The 10 most intense peaks (2θ from 5° to 70°), low angle first:
4.540 Å, rel. 30, hkl 1 0 0; 3.142 Å, rel. 25, hkl 1 0 1; 2.584 Å, rel. 100, hkl 1 1 1; 2.270 Å, rel. 34, hkl 2 0 0; 2.177 Å, rel. 15, hkl 0 0 2; 2.030 Å, rel. 8, hkl 2 1 0; 1.840 Å, rel. 12, hkl 2 1 1; 1.605 Å, rel. 12, hkl 2 2 0; 1.571 Å, rel. 22, hkl 2 0 2; 1.363 Å, rel. 27, hkl 3 1 1